[1]
Structure and calculated X-ray powder pattern of NdTh2Sb2Te2 (a DFT-relaxed cell (PBE, Alexandria); Cu Kα (weighted mean of Kα1 and Kα2)).
Neutral-atom scattering factors, no anomalous dispersion.

Top 10 peaks for 2θ from 10° to 90°, in order of rising 2θ:
| two_theta | I_rel |
| --- | --- |
| 11.25 | 32.1 |
| 21.51 | 72.3 |
| 30.61 | 100.0 |
| 31.41 | 32.9 |
| 32.33 | 97.9 |
| 43.84 | 37.6 |
| 45.12 | 78.5 |
| 55.51 | 21.4 |
| 64.73 | 27.0 |
| 73.29 | 18.8 |

Structure:
a = 8.882 Å, b = 8.882 Å, c = 8.882 Å
α = 141.61°, β = 141.61°, γ = 55.42°
Fractional positions:
Nd 0.000 0.000 0.000
Th 0.389 0.389 0.000
Th 0.611 0.611 0.000
Sb 0.000 0.500 0.500
Sb 0.500 0.000 0.500
Te 0.198 0.198 0.000
Te 0.802 0.802 0.000


[2]
Structure and calculated X-ray powder pattern of Nd4ThSb5 (a DFT-relaxed cell (PBE, Alexandria); Cu Kα (weighted mean of Kα1 and Kα2)).
Neutral-atom scattering factors, no anomalous dispersion.

Top 10 peaks for 2θ from 10° to 90°, in order of rising 2θ:
| two_theta | I_rel |
| --- | --- |
| 14.40 | 0.9 |
| 24.10 | 3.6 |
| 27.90 | 100.0 |
| 39.87 | 76.9 |
| 47.14 | 2.0 |
| 49.37 | 27.7 |
| 57.66 | 13.0 |
| 65.25 | 35.7 |
| 72.40 | 26.3 |
| 85.99 | 8.5 |

Structure:
a = 11.964 Å, b = 11.964 Å, c = 11.964 Å
α = 158.20°, β = 149.02°, γ = 38.20°
Fractional positions:
Nd 0.101 0.101 0.000
Nd 0.299 0.299 0.000
Nd 0.701 0.701 0.000
Nd 0.899 0.899 0.000
Th 0.500 0.500 0.000
Sb 0.000 0.500 0.500
Sb 0.200 0.700 0.500
Sb 0.401 0.901 0.500
Sb 0.599 0.099 0.500
Sb 0.800 0.300 0.500


[3]
Structure and calculated X-ray powder pattern of Nd3Th5Sb8 (a DFT-relaxed cell (PBE, Alexandria); Cu Kα (weighted mean of Kα1 and Kα2)).
Neutral-atom scattering factors, no anomalous dispersion.

Top 10 peaks for 2θ from 10° to 90°, in order of rising 2θ:
| two_theta | I_rel |
| --- | --- |
| 12.02 | 2.5 |
| 24.16 | 9.7 |
| 27.97 | 100.0 |
| 39.96 | 77.5 |
| 47.24 | 5.4 |
| 49.48 | 28.0 |
| 57.80 | 13.2 |
| 65.41 | 36.4 |
| 72.58 | 26.9 |
| 86.22 | 8.8 |

Structure:
a = 9.020 Å, b = 9.020 Å, c = 9.020 Å
α = 60.06°, β = 60.06°, γ = 60.06°
Fractional positions:
Nd 0.000 0.500 0.500
Nd 0.500 0.000 0.500
Nd 0.500 0.500 0.000
Th 0.000 0.000 0.000
Th 0.000 0.000 0.500
Th 0.000 0.500 0.000
Th 0.500 0.000 0.000
Th 0.500 0.500 0.500
Sb 0.250 0.250 0.250
Sb 0.250 0.250 0.750
Sb 0.250 0.750 0.250
Sb 0.250 0.750 0.750
Sb 0.750 0.250 0.250
Sb 0.750 0.250 0.750
Sb 0.750 0.750 0.250
Sb 0.750 0.750 0.750


[4]
Structure and calculated X-ray powder pattern of NdTiSb (a DFT-relaxed cell (PBE, Alexandria); Cu Kα (weighted mean of Kα1 and Kα2)).
Neutral-atom scattering factors, no anomalous dispersion.

Top 10 peaks for 2θ from 10° to 90°, in order of rising 2θ:
| two_theta | I_rel |
| --- | --- |
| 21.81 | 29.2 |
| 29.42 | 95.3 |
| 30.24 | 91.7 |
| 31.44 | 50.7 |
| 36.92 | 100.0 |
| 39.24 | 47.0 |
| 42.09 | 74.1 |
| 52.70 | 38.6 |
| 60.77 | 33.2 |
| 76.68 | 33.6 |

Structure:
a = 4.294 Å, b = 4.294 Å, c = 8.151 Å
α = 90.00°, β = 90.00°, γ = 90.00°
Fractional positions:
Nd 0.250 0.250 0.151
Nd 0.750 0.750 0.849
Ti 0.250 0.750 0.500
Ti 0.750 0.250 0.500
Sb 0.250 0.250 0.737
Sb 0.750 0.750 0.263